Structure and calculated XRD peak list of FeMo2S4 (a DFT-relaxed cell (PBE, the Materials Project); a wavelength of 1.5418 Å).
No peak broadening, texture or thermal motion is included.

Structural model:
Cell: 6.754 6.754 13.011 Å, 112.00 112.00 57.43°
Fractional coordinates of all 28 atoms:
Fe (0.119, 0.881, 0.500)
Fe (0.362, 0.615, 0.998)
Fe (0.615, 0.362, 0.498)
Fe (0.881, 0.119, 0.000)
Mo (0.013, 0.295, 0.259)
Mo (0.188, 0.481, 0.741)
Mo (0.295, 0.013, 0.759)
Mo (0.481, 0.188, 0.241)
Mo (0.543, 0.751, 0.256)
Mo (0.732, 0.950, 0.743)
Mo (0.751, 0.543, 0.756)
Mo (0.950, 0.732, 0.243)
S (0.096, 0.346, 0.110)
S (0.111, 0.862, 0.141)
S (0.137, 0.397, 0.889)
S (0.140, 0.882, 0.865)
S (0.344, 0.612, 0.633)
S (0.346, 0.096, 0.610)
S (0.383, 0.620, 0.358)
S (0.397, 0.137, 0.389)
S (0.587, 0.826, 0.100)
S (0.612, 0.344, 0.133)
S (0.620, 0.383, 0.858)
S (0.660, 0.904, 0.899)
S (0.826, 0.587, 0.600)
S (0.862, 0.111, 0.641)
S (0.882, 0.140, 0.365)
S (0.904, 0.660, 0.399)

Top 12 peaks for 2θ = 15–90°, in order of rising 2θ:
2theta, Rel. int.
15.06, 100.0
16.97, 50.7
31.44, 57.2
34.33, 37.9
34.82, 76.1
42.20, 26.4
42.65, 27.0
43.94, 57.7
44.08, 30.1
44.64, 72.5
47.11, 26.5
54.41, 30.3